Calculated powder X-ray diffraction pattern of LiFe2F9 for Cu Ka, from a cell relaxed with GGA+U.
Peak positions follow from Bragg's law for the DFT cell and can differ from measured ones.

The 10 most intense peaks (2θ = 10–80°), by angle:
| 2θ (°) | intensity |
| --- | --- |
| 14.0 | 67 |
| 15.2 | 53 |
| 17.2 | 100 |
| 21.0 | 96 |
| 22.3 | 70 |
| 23.7 | 93 |
| 25.9 | 36 |
| 26.2 | 64 |
| 28.3 | 47 |
| 39.5 | 43 |

```
LiFe2F9
1.0
6.4378 -3.9949 0.0000
6.4378 3.9949 0.0000
-5.0980 0.0000 6.7911
Li Fe F
2 4 18
Direct
0.1140 0.8860 0.5000 Li
0.8860 0.1140 0.0000 Li
0.0656 0.6030 0.9852 Fe
0.5471 0.8960 0.9689 Fe
0.6030 0.0656 0.4852 Fe
0.8960 0.5471 0.4689 Fe
0.0179 0.7537 0.2221 F
0.0201 0.3687 0.9399 F
0.0439 0.4717 0.6884 F
0.0887 0.8381 0.9985 F
0.0999 0.6683 0.5552 F
0.3319 0.9599 0.7562 F
0.3420 0.4965 0.0617 F
0.3687 0.0201 0.4399 F
0.4717 0.0439 0.1884 F
0.4803 0.6773 0.9235 F
0.4965 0.3420 0.5617 F
0.6683 0.0999 0.0552 F
0.6773 0.4803 0.4235 F
0.7025 0.7546 0.3528 F
0.7537 0.0179 0.7221 F
0.7546 0.7025 0.8528 F
0.8381 0.0887 0.4985 F
0.9599 0.3319 0.2562 F
```